# 1
The following is a theoretical XRD peak list of Zn3Cu6Ir. It was derived from a crystal structure in Alexandria, relaxed with GGA-PBE, using Cu Kα (weighted mean of Kα1 and Kα2).
Intensities are scaled so that the largest is 100.

Structure:
Cell lengths 8.8884, 8.8884, 11.9566 Å; angles 90.00, 90.00, 120.00 degrees
Space group R-3 (No. 148, hexagonal axes)
One atom of each set of equivalent atoms:
1 Zn 0.0005 0.4459 0.2059 (multiplicity 18)
2 Cu 0.0367 0.5751 0.5908 (multiplicity 18)
3 Cu 0.0503 0.1853 0.3144 (multiplicity 18)
4 Ir 0.0000 0.0000 0.0000 (multiplicity 3)
5 Ir 0.0000 0.0000 0.5000 (multiplicity 3)

Most intense lines, 2θ = 10–90°, by angle:
| d (Å) | intensity | hkl |
| --- | --- | --- |
| 4.722 | 58 | 0 1 2 |
| 2.616 | 38 | 1 2 2 |
| 2.284 | 30 | 0 1 5 |
| 2.222 | 45 | 2 2 0 |
| 2.102 | 98 | 4 -3 1 |
| 2.085 | 64 | 3 -1 4 |
| 2.031 | 42 | 2 0 5 |
| 2.011 | 100 | 3 1 2 |
| 1.818 | 38 | 2 -1 6 |
| 1.737 | 35 | 1 3 4 |

# 2
The following is a theoretical XRD peak list of ZnCu4Ir. It was derived from a crystal structure in Alexandria, relaxed with GGA-PBE, using Cu Kα (weighted mean of Kα1 and Kα2).
Intensities are scaled so that the largest is 100.

Structure:
Cell lengths 9.0181, 4.3243, 7.8757 Å; angles 90.00, 90.00, 90.00 degrees
Space group Pnma (No. 62)
One atom of each set of equivalent atoms:
1 Zn 0.2053 0.2500 0.0853 (multiplicity 4)
2 Cu 0.0396 0.7500 0.0867 (multiplicity 4)
3 Cu 0.0400 0.7500 0.7573 (multiplicity 4)
4 Cu 0.2098 0.2500 0.7539 (multiplicity 4)
5 Cu 0.2139 0.2500 0.4156 (multiplicity 4)
6 Ir 0.0413 0.7500 0.4225 (multiplicity 4)

Most intense lines, 2θ = 10–90°, by angle:
| d (Å) | intensity | hkl |
| --- | --- | --- |
| 5.932 | 33 | 1 0 1 |
| 2.269 | 23 | 2 0 3 |
| 2.255 | 13 | 4 0 0 |
| 2.162 | 42 | 0 2 0 |
| 2.009 | 100 | 2 1 3 |
| 1.999 | 47 | 4 1 0 |
| 1.565 | 14 | 2 2 3 |
| 1.304 | 15 | 6 0 3 |
| 1.217 | 18 | 2 3 3 |
| 1.117 | 19 | 6 2 3 |

# 3
The following is a theoretical XRD peak list of Zr2CuIr2. It was derived from a crystal structure in Alexandria, relaxed with GGA-PBE, using Cu Kα (weighted mean of Kα1 and Kα2).
Intensities are scaled so that the largest is 100.

Structure:
Cell lengths 4.1759, 5.5771, 7.6880 Å; angles 90.00, 90.00, 90.00 degrees
Space group Immm (No. 71)
One atom of each set of equivalent atoms:
1 Zr 0.0000 0.0000 0.2021 (multiplicity 4)
2 Cu 0.0000 0.5000 0.0000 (multiplicity 2)
3 Ir 0.0000 0.2653 0.5000 (multiplicity 4)

Most intense lines, 2θ = 10–90°, by angle:
| d (Å) | intensity | hkl |
| --- | --- | --- |
| 3.844 | 37 | 0 0 2 |
| 3.670 | 49 | 1 0 1 |
| 2.522 | 40 | 1 1 2 |
| 2.257 | 44 | 0 2 2 |
| 2.220 | 100 | 1 2 1 |
| 2.184 | 40 | 1 0 3 |
| 2.088 | 34 | 2 0 0 |
| 1.922 | 17 | 0 0 4 |
| 1.533 | 27 | 2 2 2 |
| 1.281 | 31 | 1 2 5 |

# 4
The following is a theoretical XRD peak list of KLaCu. It was derived from a crystal structure in Alexandria, relaxed with GGA-PBE, using Cu Kα (weighted mean of Kα1 and Kα2).
Intensities are scaled so that the largest is 100.

Structure:
Cell lengths 3.9677, 4.2146, 7.1270 Å; angles 90.00, 105.97, 90.00 degrees
Space group Pm (No. 6)
One atom of each set of equivalent atoms:
1 K 0.0000 0.0000 0.0000 (multiplicity 1)
2 La 0.7389 0.5000 0.4862 (multiplicity 1)
3 Cu 0.2713 0.0000 0.5514 (multiplicity 1)

Most intense lines, 2θ = 10–90°, by angle:
| d (Å) | intensity | hkl |
| --- | --- | --- |
| 6.852 | 100 | 0 0 1 |
| 3.590 | 24 | 0 1 1 |
| 3.426 | 42 | 0 0 2 |
| 2.996 | 15 | 1 0 1 |
| 2.827 | 82 | 1 1 0 |
| 2.442 | 52 | 1 1 -2 |
| 2.107 | 12 | 0 2 0 |
| 1.991 | 11 | 1 1 2 |
| 1.985 | 21 | 2 0 -1 |
| 1.795 | 13 | 0 2 2 |

# 5
The following is a theoretical XRD peak list of KLa2CuO5. It was derived from a crystal structure in Alexandria, relaxed with GGA-PBE, using Cu Kα (weighted mean of Kα1 and Kα2).
Intensities are scaled so that the largest is 100.

Structure:
Cell lengths 6.9118, 6.9118, 5.7229 Å; angles 90.00, 90.00, 90.00 degrees
Space group P4/mbm (No. 127)
One atom of each set of equivalent atoms:
1 K 0.0000 0.0000 0.0000 (multiplicity 2)
2 La 0.1814 0.3186 0.5000 (multiplicity 4)
3 Cu 0.0000 0.5000 0.0000 (multiplicity 2)
4 O 0.0000 0.0000 0.5000 (multiplicity 2)
5 O 0.1287 0.6287 0.2380 (multiplicity 8)

Most intense lines, 2θ = 10–90°, by angle:
| d (Å) | intensity | hkl |
| --- | --- | --- |
| 5.723 | 51 | 0 0 1 |
| 3.091 | 29 | 2 1 0 |
| 2.958 | 100 | 2 0 1 |
| 2.861 | 34 | 0 0 2 |
| 2.720 | 80 | 2 1 1 |
| 2.444 | 23 | 2 2 0 |
| 2.100 | 56 | 2 1 2 |
| 2.042 | 22 | 3 1 1 |
| 1.858 | 20 | 2 2 2 |
| 1.609 | 27 | 4 1 1 |

# 6
The following is a theoretical XRD peak list of KLaCuTe4. It was derived from a crystal structure in Alexandria, relaxed with GGA-PBE, using Cu Kα (weighted mean of Kα1 and Kα2).
Intensities are scaled so that the largest is 100.

Structure:
Cell lengths 4.4758, 4.4758, 21.8058 Å; angles 90.00, 90.00, 90.00 degrees
Space group P4/nmm (No. 129, origin choice 2)
One atom of each set of equivalent atoms:
1 K 0.2500 0.2500 0.1437 (multiplicity 2)
2 La 0.2500 0.2500 0.5980 (multiplicity 2)
3 Cu 0.2500 0.7500 0.0000 (multiplicity 2)
4 Te 0.2500 0.2500 0.4437 (multiplicity 2)
5 Te 0.2500 0.2500 0.9320 (multiplicity 2)
6 Te 0.2500 0.7500 0.2842 (multiplicity 4)

Most intense lines, 2θ = 10–90°, by angle:
| d (Å) | intensity | hkl |
| --- | --- | --- |
| 7.269 | 54 | 0 0 3 |
| 3.459 | 33 | 1 0 4 |
| 3.115 | 30 | 0 0 7 |
| 3.039 | 100 | 1 1 2 |
| 2.902 | 39 | 1 1 3 |
| 2.821 | 46 | 1 0 6 |
| 2.737 | 78 | 1 1 4 |
| 2.560 | 41 | 1 1 5 |
| 2.238 | 86 | 2 0 0 |
| 1.582 | 29 | 2 2 0 |